Theoretical powder diffractogram
Compound: BiPd3Au3
Radiation: λ = 1.5418 Å (Cu Kα)
Structure: a cell relaxed with GGA-PBE
Neutral-atom scattering factors, no anomalous dispersion.

Largest 12 diffraction maxima, by angle, 5° ≤ 2θ ≤ 70°:
two_theta	Rel. int.
27.04	31
31.33	16
33.28	16
35.14	78
36.91	32
40.26	46
41.85	100
46.35	13
51.88	10
55.76	10
58.25	23
61.87	15

a = 8.076 Å, b = 8.076 Å, c = 8.076 Å
α = 90.00°, β = 90.00°, γ = 90.00°
Space group P2_13 (No. 198)
Inequivalent atoms, fractional coordinates:
Bi 0.061 0.439 0.561 (multiplicity 4)
Pd 0.067 0.249 0.862 (multiplicity 12)
Au 0.092 0.592 0.908 (multiplicity 4)
Au 0.116 0.884 0.384 (multiplicity 4)
Au 0.199 0.199 0.199 (multiplicity 4)

Theoretical powder diffractogram
Compound: BiPd4Au3
Radiation: λ = 1.5418 Å (Cu Kα)
Structure: a cell relaxed with GGA-PBE
Neutral-atom scattering factors, no anomalous dispersion.

Largest 12 diffraction maxima, by angle, 5° ≤ 2θ ≤ 70°:
two_theta	Rel. int.
18.65	8
29.46	10
31.77	24
32.59	7
37.10	45
37.81	100
46.15	30
50.19	37
61.14	22
66.39	7
67.81	6
68.23	11

a = 5.632 Å, b = 9.527 Å, c = 5.490 Å
α = 90.00°, β = 90.00°, γ = 90.00°
Space group Imm2 (No. 44)
Inequivalent atoms, fractional coordinates:
Bi 0.000 0.000 0.000 (multiplicity 2)
Pd 0.000 0.262 0.186 (multiplicity 4)
Pd 0.245 0.500 0.957 (multiplicity 4)
Au 0.000 0.242 0.684 (multiplicity 4)
Au 0.000 0.500 0.458 (multiplicity 2)